Entry 1:
Diffraction record for V3O4F2. The PXRD pattern is calculated, not measured: it uses the GGA+U geometry in the Materials Project and a wavelength of 1.5418 Å.
No peak broadening, texture or thermal motion is included.

Main lines, by angle (10° ≤ 2θ ≤ 90°):
d/Å  two_theta  I/Imax
3.462  25.73  97.1
3.211  27.78  100.0
2.558  35.08  94.5
2.287  39.40  25.7
2.210  40.83  19.8
1.768  51.69  58.1
1.698  54.00  55.0
1.605  57.39  17.9
1.523  60.81  25.4
1.395  67.09  50.2

Cell and atoms:
```
data_V3O4F2
_chemical_formula_sum 'V6 O8 F4'
_cell_length_a 5.6175
_cell_length_b 5.6179
_cell_length_c 7.1107
_cell_angle_alpha 73.50
_cell_angle_beta 73.53
_cell_angle_gamma 76.08
_symmetry_space_group_name_H-M 'P -1'
_symmetry_Int_Tables_number 2
loop_
_symmetry_equiv_pos_as_xyz
'x,y,z'
'-x,-y,-z'
loop_
_atom_site_label
_atom_site_type_symbol
_atom_site_fract_x
_atom_site_fract_y
_atom_site_fract_z
V1 V 0.0000 0.0000 0.0000
V2 V 0.0000 0.0000 0.5000
V3 V 0.3323 0.3265 0.1704
V4 V 0.3774 0.2906 0.6660
O1 O 0.1081 0.1046 0.6992
O2 O 0.2376 0.2344 0.9614
O3 O 0.3627 0.9682 0.3330
O4 O 0.4332 0.4361 0.3725
F1 F 0.0336 0.6347 0.6693
F2 F 0.3032 0.6937 0.0022
```


Entry 2:
Diffraction record for V2OF5. The PXRD pattern is calculated, not measured: it uses the GGA+U geometry in the Materials Project and a wavelength of 1.5418 Å.
No peak broadening, texture or thermal motion is included.

Main lines, by angle (10° ≤ 2θ ≤ 90°):
d/Å  two_theta  I/Imax
3.748  23.74  100.0
3.664  24.29  48.3
2.705  33.12  7.1
2.673  33.53  14.3
2.247  40.12  19.3
1.874  48.58  21.5
1.832  49.77  8.1
1.704  53.81  12.7
1.695  54.09  11.6
1.672  54.93  12.5

Cell and atoms:
```
data_V2OF5
_chemical_formula_sum 'V6 O3 F15'
_cell_length_a 5.1984
_cell_length_b 5.4179
_cell_length_c 11.4856
_cell_angle_alpha 79.51
_cell_angle_beta 76.95
_cell_angle_gamma 90.00
_symmetry_space_group_name_H-M 'P 1'
_symmetry_Int_Tables_number 1
loop_
_symmetry_equiv_pos_as_xyz
'x,y,z'
loop_
_atom_site_label
_atom_site_type_symbol
_atom_site_fract_x
_atom_site_fract_y
_atom_site_fract_z
V1 V 0.0000 0.0000 0.0000
V2 V 0.1429 0.1619 0.6763
V3 V 0.3306 0.3359 0.3275
V4 V 0.5008 0.5070 0.9872
V5 V 0.6619 0.6810 0.6384
V6 V 0.8415 0.8425 0.3156
O1 O 0.6650 0.7540 0.4914
O2 O 0.9926 0.9214 0.1573
O3 O 0.9989 0.0889 0.8230
F1 F 0.0137 0.1217 0.3595
F2 F 0.1178 0.6212 0.3584
F3 F 0.2160 0.7213 0.9550
F4 F 0.3084 0.4213 0.1573
F5 F 0.3188 0.2216 0.9561
F6 F 0.3426 0.2517 0.4963
F7 F 0.3481 0.4564 0.6910
F8 F 0.4501 0.9553 0.6905
F9 F 0.5425 0.0547 0.2923
F10 F 0.6463 0.5524 0.2908
F11 F 0.6776 0.7887 0.0222
F12 F 0.6818 0.5912 0.8182
F13 F 0.7799 0.2906 0.0236
F14 F 0.8820 0.3866 0.6236
F15 F 0.9834 0.8878 0.6241
```


Entry 3:
Diffraction record for V2O3F3. The PXRD pattern is calculated, not measured: it uses the GGA+U geometry in the Materials Project and a wavelength of 1.5418 Å.
No peak broadening, texture or thermal motion is included.

Main lines, by angle (10° ≤ 2θ ≤ 90°):
d/Å  two_theta  I/Imax
3.819  23.29  100.0
3.541  25.15  46.4
2.624  34.17  12.3
2.281  39.50  12.6
1.909  47.62  22.4
1.770  51.63  8.5
1.725  53.11  10.6
1.696  54.08  10.1
1.692  54.22  7.3
1.619  56.86  8.6

Cell and atoms:
```
data_V2O3F3
_chemical_formula_sum 'V8 O12 F12'
_cell_length_a 8.8177
_cell_length_b 5.3376
_cell_length_c 9.0800
_cell_angle_alpha 90.00
_cell_angle_beta 104.67
_cell_angle_gamma 90.00
_symmetry_space_group_name_H-M 'C 1 2 1'
_symmetry_Int_Tables_number 5
loop_
_symmetry_equiv_pos_as_xyz
'x,y,z'
'-x,y,-z'
'x+1/2,y+1/2,z'
'-x+1/2,y+1/2,-z'
loop_
_atom_site_label
_atom_site_type_symbol
_atom_site_fract_x
_atom_site_fract_y
_atom_site_fract_z
V1 V 0.1038 0.0000 0.3629
V2 V 0.1249 0.5277 0.8731
O1 O 0.0000 0.1086 0.5000
O2 O 0.0000 0.5983 0.0000
O3 O 0.0356 0.8246 0.7466
O4 O 0.2459 0.4708 0.7449
F1 F 0.0478 0.3180 0.2558
F2 F 0.2042 0.2267 0.9957
F3 F 0.2047 0.7541 0.4963
```


Entry 4:
Diffraction record for V4O7F5. The PXRD pattern is calculated, not measured: it uses the GGA+U geometry in the Materials Project and a wavelength of 1.5418 Å.
No peak broadening, texture or thermal motion is included.

Main lines, by angle (10° ≤ 2θ ≤ 90°):
d/Å  two_theta  I/Imax
3.728  23.87  100.0
3.614  24.63  46.8
2.640  33.96  11.3
2.552  35.17  8.5
2.187  41.27  6.7
1.864  48.86  20.0
1.807  50.51  8.4
1.681  54.61  16.8
1.654  55.57  7.2
1.648  55.78  7.8

Cell and atoms:
```
data_V4O7F5
_chemical_formula_sum 'V8 O14 F10'
_cell_length_a 9.1959
_cell_length_b 5.2182
_cell_length_c 8.7779
_cell_angle_alpha 90.00
_cell_angle_beta 107.23
_cell_angle_gamma 90.00
_symmetry_space_group_name_H-M 'C 1 2 1'
_symmetry_Int_Tables_number 5
loop_
_symmetry_equiv_pos_as_xyz
'x,y,z'
'-x,y,-z'
'x+1/2,y+1/2,z'
'-x+1/2,y+1/2,-z'
loop_
_atom_site_label
_atom_site_type_symbol
_atom_site_fract_x
_atom_site_fract_y
_atom_site_fract_z
V1 V 0.1065 0.0000 0.3702
V2 V 0.1518 0.5371 0.8808
O1 O 0.0000 0.1179 0.5000
O2 O 0.0022 0.7462 0.2919
O3 O 0.2471 0.4592 0.7448
O4 O 0.2477 0.3225 0.0416
F1 F 0.0000 0.6150 0.0000
F2 F 0.0057 0.2381 0.2074
F3 F 0.2485 0.8441 0.5442
```


Entry 5:
Diffraction record for V2O3F3. The PXRD pattern is calculated, not measured: it uses the GGA+U geometry in the Materials Project and a wavelength of 1.5418 Å.
No peak broadening, texture or thermal motion is included.

Main lines, by angle (10° ≤ 2θ ≤ 90°):
d/Å  two_theta  I/Imax
3.793  23.46  49.9
3.698  24.07  100.0
2.643  33.91  7.3
2.228  40.49  10.7
1.896  47.97  12.4
1.851  49.24  9.7
1.847  49.34  8.9
1.702  53.87  6.9
1.674  54.85  7.5
1.668  55.04  12.9

Cell and atoms:
```
data_V2O3F3
_chemical_formula_sum 'V6 O9 F9'
_cell_length_a 5.1734
_cell_length_b 5.2274
_cell_length_c 13.2378
_cell_angle_alpha 91.15
_cell_angle_beta 90.23
_cell_angle_gamma 119.53
_symmetry_space_group_name_H-M 'P 1'
_symmetry_Int_Tables_number 1
loop_
_symmetry_equiv_pos_as_xyz
'x,y,z'
loop_
_atom_site_label
_atom_site_type_symbol
_atom_site_fract_x
_atom_site_fract_y
_atom_site_fract_z
V1 V 0.0000 0.0000 0.0000
V2 V 0.0431 0.0353 0.5043
V3 V 0.3082 0.6849 0.3326
V4 V 0.3830 0.7074 0.8404
V5 V 0.6195 0.3419 0.1737
V6 V 0.6622 0.3330 0.6623
O1 O 0.0161 0.6098 0.2579
O2 O 0.0773 0.7881 0.9251
O3 O 0.2460 0.9418 0.4292
O4 O 0.3292 0.2679 0.5942
O5 O 0.3373 0.1225 0.0941
O6 O 0.4428 0.4508 0.2572
O7 O 0.5770 0.6130 0.7635
O8 O 0.6439 0.9334 0.9271
O9 O 0.7504 0.1198 0.5922
F1 F 0.0748 0.3579 0.4262
F2 F 0.2470 0.3687 0.9256
F3 F 0.4075 0.0259 0.7600
F4 F 0.6027 0.0353 0.2580
F5 F 0.6653 0.7806 0.4292
F6 F 0.7411 0.6942 0.0952
F7 F 0.9127 0.2835 0.0955
F8 F 0.9237 0.6985 0.5956
F9 F 0.9922 0.4462 0.7622
```


Entry 6:
Diffraction record for VOF2. The PXRD pattern is calculated, not measured: it uses the GGA+U geometry in the Materials Project and a wavelength of 1.5418 Å.
No peak broadening, texture or thermal motion is included.

Main lines, by angle (10° ≤ 2θ ≤ 90°):
d/Å  two_theta  I/Imax
3.766  23.62  100.0
3.744  23.77  51.1
2.690  33.31  13.0
2.627  34.13  6.5
2.263  39.84  9.6
1.887  48.24  11.0
1.880  48.43  10.8
1.872  48.64  10.3
1.700  53.92  16.4
1.694  54.16  9.8

Cell and atoms:
```
data_VOF2
_chemical_formula_sum 'V6 O6 F12'
_cell_length_a 5.2334
_cell_length_b 5.2534
_cell_length_c 13.3774
_cell_angle_alpha 90.06
_cell_angle_beta 90.31
_cell_angle_gamma 119.85
_symmetry_space_group_name_H-M 'P 1'
_symmetry_Int_Tables_number 1
loop_
_symmetry_equiv_pos_as_xyz
'x,y,z'
loop_
_atom_site_label
_atom_site_type_symbol
_atom_site_fract_x
_atom_site_fract_y
_atom_site_fract_z
V1 V 0.0000 0.0000 0.0000
V2 V 0.0058 0.0401 0.4999
V3 V 0.2990 0.6567 0.3342
V4 V 0.3887 0.6775 0.8330
V5 V 0.6464 0.3125 0.1665
V6 V 0.6915 0.3349 0.6668
O1 O 0.0123 0.5760 0.2588
O2 O 0.0921 0.3328 0.4260
O3 O 0.3558 0.1029 0.0920
O4 O 0.5886 0.5952 0.7554
O5 O 0.7042 0.9187 0.9255
O6 O 0.7720 0.1201 0.5937
F1 F 0.0076 0.4279 0.7640
F2 F 0.1220 0.7575 0.9267
F3 F 0.2638 0.9260 0.4268
F4 F 0.2847 0.3441 0.9246
F5 F 0.3438 0.2698 0.5912
F6 F 0.4246 0.0165 0.7586
F7 F 0.4311 0.4139 0.2634
F8 F 0.5993 0.0008 0.2582
F9 F 0.6662 0.7541 0.4238
F10 F 0.7691 0.6850 0.0968
F11 F 0.9325 0.6983 0.5908
F12 F 0.9425 0.2670 0.0901
```


Entry 7:
Diffraction record for V2OF5. The PXRD pattern is calculated, not measured: it uses the GGA+U geometry in the Materials Project and a wavelength of 1.5418 Å.
No peak broadening, texture or thermal motion is included.

Main lines, by angle (10° ≤ 2θ ≤ 90°):
d/Å  two_theta  I/Imax
3.801  23.40  49.5
3.768  23.61  100.0
2.718  32.95  13.9
2.268  39.75  16.4
1.900  47.86  11.1
1.884  48.31  20.5
1.718  53.31  12.0
1.710  53.61  13.9
1.705  53.76  12.0
1.667  55.10  11.5

Cell and atoms:
```
data_V2OF5
_chemical_formula_sum 'V4 O2 F10'
_cell_length_a 5.4134
_cell_length_b 5.2531
_cell_length_c 7.6093
_cell_angle_alpha 90.00
_cell_angle_beta 92.54
_cell_angle_gamma 90.00
_symmetry_space_group_name_H-M 'P 1 c 1'
_symmetry_Int_Tables_number 7
loop_
_symmetry_equiv_pos_as_xyz
'x,y,z'
'x,-y,z+1/2'
loop_
_atom_site_label
_atom_site_type_symbol
_atom_site_fract_x
_atom_site_fract_y
_atom_site_fract_z
V1 V 0.0000 0.0004 0.0000
V2 V 0.5245 0.4824 0.0056
O1 O 0.7783 0.2997 0.0372
F1 F 0.9996 0.0971 0.7496
F2 F 0.2177 0.3008 0.4573
F3 F 0.2930 0.2062 0.0518
F4 F 0.4903 0.4048 0.7502
F5 F 0.7004 0.2026 0.4507
```


Entry 8:
Diffraction record for V2OF5. The PXRD pattern is calculated, not measured: it uses the GGA+U geometry in the Materials Project and a wavelength of 1.5418 Å.
No peak broadening, texture or thermal motion is included.

Main lines, by angle (10° ≤ 2θ ≤ 90°):
d/Å  two_theta  I/Imax
4.223  21.04  57.4
3.099  28.81  100.0
2.150  42.02  39.7
1.916  47.45  22.4
1.666  55.14  41.0
1.550  59.67  7.7
1.507  61.55  20.0
1.431  65.20  7.5
1.408  66.41  17.3
1.101  88.88  8.0

Cell and atoms:
```
data_V2OF5
_chemical_formula_sum 'V6 O3 F15'
_cell_length_a 8.4460
_cell_length_b 8.4460
_cell_length_c 4.5624
_cell_angle_alpha 90.00
_cell_angle_beta 90.00
_cell_angle_gamma 120.00
_symmetry_space_group_name_H-M 'P 3 1 2'
_symmetry_Int_Tables_number 149
loop_
_symmetry_equiv_pos_as_xyz
'x,y,z'
'-y,x-y,z'
'-x+y,-x,z'
'-y,-x,-z'
'-x+y,y,-z'
'x,x-y,-z'
loop_
_atom_site_label
_atom_site_type_symbol
_atom_site_fract_x
_atom_site_fract_y
_atom_site_fract_z
V1 V 0.0026 0.3425 0.2653
O1 O 0.0775 0.5387 0.5000
F1 F 0.1177 0.2355 0.5000
F2 F 0.2152 0.4304 0.0000
F3 F 0.2507 0.1254 0.0000
F4 F 0.4301 0.2151 0.5000
F5 F 0.5496 0.0993 0.0000
```


Entry 9:
Diffraction record for V3O4F2. The PXRD pattern is calculated, not measured: it uses the GGA+U geometry in the Materials Project and a wavelength of 1.5418 Å.
No peak broadening, texture or thermal motion is included.

Main lines, by angle (10° ≤ 2θ ≤ 90°):
d/Å  two_theta  I/Imax
3.449  25.83  99.7
3.207  27.82  100.0
2.558  35.08  95.9
2.285  39.43  27.3
2.210  40.83  19.9
1.767  51.73  30.6
1.764  51.84  30.4
1.697  54.04  55.4
1.525  60.72  19.2
1.393  67.20  47.0

Cell and atoms:
```
data_V3O4F2
_chemical_formula_sum 'V12 O16 F8'
_cell_length_a 9.1988
_cell_length_b 6.4135
_cell_length_c 7.5497
_cell_angle_alpha 90.00
_cell_angle_beta 114.62
_cell_angle_gamma 90.00
_symmetry_space_group_name_H-M 'C 1 m 1'
_symmetry_Int_Tables_number 8
loop_
_symmetry_equiv_pos_as_xyz
'x,y,z'
'x,-y,z'
'x+1/2,y+1/2,z'
'x+1/2,-y+1/2,z'
loop_
_atom_site_label
_atom_site_type_symbol
_atom_site_fract_x
_atom_site_fract_y
_atom_site_fract_z
V1 V 0.0000 0.0000 0.0000
V2 V 0.0030 0.0000 0.5002
V3 V 0.1533 0.5000 0.6960
V4 V 0.1643 0.5000 0.1671
V5 V 0.3191 0.0000 0.3595
V6 V 0.3359 0.0000 0.8268
O1 O 0.0667 0.5000 0.8709
O2 O 0.1686 0.1963 0.1723
O3 O 0.2302 0.0000 0.5327
O4 O 0.3286 0.3044 0.8326
O5 O 0.4984 0.1931 0.5028
F1 F 0.1016 0.0000 0.7985
F2 F 0.2687 0.5000 0.4676
F3 F 0.3986 0.5000 0.2038
F4 F 0.4315 0.0000 0.1326
```


Entry 10:
Diffraction record for VOF2. The PXRD pattern is calculated, not measured: it uses the GGA+U geometry in the Materials Project and a wavelength of 1.5418 Å.
No peak broadening, texture or thermal motion is included.

Main lines, by angle (10° ≤ 2θ ≤ 90°):
d/Å  two_theta  I/Imax
3.788  23.49  91.8
3.757  23.68  91.4
3.712  23.97  100.0
2.692  33.29  26.1
1.894  48.04  20.9
1.879  48.45  19.4
1.856  49.08  17.9
1.709  53.63  22.2
1.701  53.88  21.3
1.688  54.35  18.4

Cell and atoms:
```
data_VOF2
_chemical_formula_sum 'V6 O6 F12'
_cell_length_a 5.1860
_cell_length_b 5.3877
_cell_length_c 11.8552
_cell_angle_alpha 100.69
_cell_angle_beta 102.36
_cell_angle_gamma 90.69
_symmetry_space_group_name_H-M 'P 1'
_symmetry_Int_Tables_number 1
loop_
_symmetry_equiv_pos_as_xyz
'x,y,z'
loop_
_atom_site_label
_atom_site_type_symbol
_atom_site_fract_x
_atom_site_fract_y
_atom_site_fract_z
V1 V 0.0000 0.0000 0.0000
V2 V 0.1547 0.1707 0.3263
V3 V 0.3261 0.3222 0.6649
V4 V 0.4880 0.5026 0.9933
V5 V 0.6665 0.6644 0.3318
V6 V 0.8254 0.7870 0.6599
O1 O 0.0646 0.5863 0.6378
O2 O 0.2646 0.1985 0.0248
O3 O 0.3299 0.4138 0.3050
O4 O 0.5875 0.5274 0.6858
O5 O 0.6629 0.7458 0.9720
O6 O 0.9296 0.8635 0.3527
F1 F 0.1852 0.6938 0.0312
F2 F 0.2859 0.3891 0.8298
F3 F 0.3121 0.2038 0.4952
F4 F 0.3982 0.9054 0.2887
F5 F 0.5272 0.0240 0.6920
F6 F 0.6223 0.7320 0.4956
F7 F 0.6454 0.5332 0.1628
F8 F 0.7322 0.2399 0.9572
F9 F 0.8554 0.3627 0.3678
F10 F 0.9471 0.0662 0.1630
F11 F 0.9752 0.8897 0.8302
F12 F 0.9977 0.0915 0.6335
```